Entry 1:
For KAsPt, a DFT-relaxed cell (GGA-PBE, Alexandria) gives the simulated powder X-ray diffraction pattern in this record (Cu Kα).
Lines closer than 0.1° are merged.

Main lines, most intense first (2θ = 10–80°):
d_spacing, I_rel, hkl
6.042, 100, 1 0 0
2.528, 54, 1 2 1
4.576, 35, 1 1 -1
3.056, 35, 0 2 1
4.856, 34, 0 1 1
2.422, 30, 1 1 -3
4.520, 29, 1 1 0
2.761, 27, 2 1 0
2.813, 27, 2 1 -2
1.702, 22, 4 0 -2

Crystal structure
Cell: 6.809 6.810 7.805 Å, 90.00 117.46 90.00°
Element x y z (fractional)
K (0.176, 0.126, 0.376)
K (0.176, 0.374, 0.876)
K (0.824, 0.626, 0.124)
K (0.824, 0.874, 0.624)
As (0.295, 0.638, 0.575)
As (0.295, 0.862, 0.075)
As (0.705, 0.138, 0.925)
As (0.705, 0.362, 0.425)
Pt (0.422, 0.618, 0.329)
Pt (0.422, 0.882, 0.829)
Pt (0.578, 0.118, 0.171)
Pt (0.578, 0.382, 0.671)


Entry 2:
For CePr5Dy, a DFT-relaxed cell (GGA-PBE, Alexandria) gives the simulated powder X-ray diffraction pattern in this record (Cu Kα).
Lines closer than 0.1° are merged.

Main lines, most intense first (2θ = 10–80°):
d_spacing, I_rel, hkl
2.811, 100, 1 -2 0
2.963, 45, 2 0 -1
2.875, 35, 0 2 -2
3.333, 33, 0 1 -2
2.771, 32, 1 1 1
2.909, 27, 0 0 2
2.752, 27, 2 1 -1
2.607, 26, 2 0 1
2.762, 26, 2 -1 1
2.834, 24, 1 2 -1

Crystal structure
Cell: 6.388 6.687 6.702 Å, 118.40 95.09 95.48°
Element x y z (fractional)
Ce (0.000, 0.000, 0.000)
Pr (0.000, 0.000, 0.500)
Pr (0.265, 0.575, 0.577)
Pr (0.498, 0.814, 0.179)
Pr (0.502, 0.186, 0.821)
Pr (0.735, 0.425, 0.423)
Dy (0.000, 0.500, 0.000)